LiPbF2: computed X-ray powder pattern (Cu Kα (λ = 1.5418 Å)), based on DFT lattice parameters and positions (GGA-PBE).

Cell and atoms:
```
data_LiPbF2
_cell_length_a 3.256
_cell_length_b 5.136
_cell_length_c 7.683
_cell_angle_alpha 90.00
_cell_angle_beta 90.06
_cell_angle_gamma 90.00
_space_group_name_H-M_alt 'P 1 21 1'
_space_group_IT_number 4
loop_
_space_group_symop_operation_xyz
'x,y,z'
'-x,y+1/2,-z'
loop_
_atom_site_label
_atom_site_fract_x
_atom_site_fract_y
_atom_site_fract_z
Li1 0.249 0.000 0.078
Pb1 0.251 0.092 0.591
F1 0.249 0.237 0.266
F2 0.251 0.272 0.897
```

Principal peaks in the range 2θ = 10–90°, by intensity:
hkl	2θ (°)	I (rel.)
0 0 1	11.52	100
1 1 0	32.56	44
1 1 -1	34.65	36
0 1 2	29.03	35
0 1 1	20.80	25
0 1 3	39.31	24
1 2 2	51.17	19
0 2 1	36.91	19
1 0 3	45.04	18
1 0 2	36.17	17

SrGa2Si2O8: computed X-ray powder pattern (Cu Kα (λ = 1.5418 Å)), based on DFT lattice parameters and positions (GGA-PBE).

Cell and atoms:
```
data_SrGa2Si2O8
_cell_length_a 8.503
_cell_length_b 9.615
_cell_length_c 9.131
_cell_angle_alpha 90.00
_cell_angle_beta 90.73
_cell_angle_gamma 90.00
_space_group_name_H-M_alt 'P 1 21/c 1'
_space_group_IT_number 14
loop_
_space_group_symop_operation_xyz
'x,y,z'
'-x,-y,-z'
'-x,y+1/2,-z+1/2'
'x,-y+1/2,z+1/2'
loop_
_atom_site_label
_atom_site_fract_x
_atom_site_fract_y
_atom_site_fract_z
Sr1 0.247 0.085 0.111
Ga1 0.072 0.690 0.054
Ga2 0.430 0.076 0.726
Si1 0.060 0.083 0.742
Si2 0.445 0.702 0.063
O1 0.012 0.068 0.310
O2 0.059 0.629 0.625
O3 0.064 0.194 0.606
O4 0.237 0.075 0.818
O5 0.274 0.646 0.007
O6 0.428 0.199 0.572
O7 0.438 0.636 0.622
O8 0.484 0.098 0.307
```

Principal peaks in the range 2θ = 10–90°, by intensity:
hkl	2θ (°)	I (rel.)
1 0 -2	21.98	100
0 2 2	26.93	66
1 2 1	23.44	63
1 3 0	29.79	59
2 2 -1	29.58	57
2 1 1	25.00	50
0 2 3	34.89	38
2 0 0	20.89	37
2 2 -2	34.18	32
1 1 3	32.73	27